# 1
Computed PXRD pattern
Compound: HfTi7Co5
Radiation: Cu Kα, 1.54184 Å
Structure: a structure optimized by DFT (PBE)
No peak broadening, texture or thermal motion is included.

Structure:
Unit cell a=5.065 b=8.654 c=8.598 alpha=90.00 beta=90.00 gamma=90.00
Space group Imm2 (No. 44)
Unique sites:
1 Hf 0.000 0.000 0.000
2 Ti 0.000 0.000 0.349
3 Ti 0.000 0.000 0.666
4 Ti 0.000 0.307 0.477
5 Ti 0.000 0.344 0.010
6 Ti 0.000 0.500 0.725
7 Co 0.000 0.500 0.261
8 Co 0.249 0.254 0.741

Top 6 peaks for 5° ≤ 2θ ≤ 70°, low angle first:
d 6.099, 14.5 deg, rel. 24, hkl 0 1 1; d 3.069, 29.1 deg, rel. 34, hkl 1 1 2; d 2.507, 35.8 deg, rel. 24, hkl 1 3 0; d 2.184, 41.3 deg, rel. 69, hkl 2 2 0; d 2.164, 41.7 deg, rel. 100, hkl 0 4 0; d 2.149, 42.0 deg, rel. 27, hkl 0 0 4

=====

# 2
Computed PXRD pattern
Compound: Hf2Ti3Co2
Radiation: Cu Kα, 1.54184 Å
Structure: a structure optimized by DFT (PBE)
No peak broadening, texture or thermal motion is included.

Structure:
Unit cell a=10.200 b=3.806 c=6.804 alpha=90.00 beta=118.31 gamma=90.00
Space group C2/m (No. 12)
Unique sites:
1 Hf 0.142 0.000 0.293
2 Ti 0.000 0.500 0.500
3 Ti 0.128 0.500 0.951
4 Co 0.148 0.000 0.709

Top 6 peaks for 5° ≤ 2θ ≤ 70°, low angle first:
d 2.807, 31.9 deg, rel. 64, hkl 1 1 1; d 2.535, 35.4 deg, rel. 81, hkl 3 1 -1; d 2.519, 35.6 deg, rel. 100, hkl 1 1 -2; d 2.353, 38.3 deg, rel. 83, hkl 3 1 0; d 2.317, 38.9 deg, rel. 60, hkl 3 1 -2; d 1.903, 47.8 deg, rel. 49, hkl 0 2 0

=====

# 3
Computed PXRD pattern
Compound: Hf2Ti5Co4
Radiation: Cu Kα, 1.54184 Å
Structure: a structure optimized by DFT (PBE)
No peak broadening, texture or thermal motion is included.

Structure:
Unit cell a=11.218 b=5.294 c=7.917 alpha=90.00 beta=133.71 gamma=90.00
Space group C2/m (No. 12)
Unique sites:
1 Hf 0.195 0.000 0.200
2 Ti 0.000 0.500 0.000
3 Ti 0.002 0.250 0.685
4 Co 0.231 0.500 0.045
5 Co 0.246 0.000 0.594

Top 6 peaks for 5° ≤ 2θ ≤ 70°, low angle first:
d 4.401, 20.2 deg, rel. 44, hkl 1 1 -1; d 2.406, 37.4 deg, rel. 47, hkl 3 1 0; d 2.361, 38.1 deg, rel. 81, hkl 3 1 -3; d 2.216, 40.7 deg, rel. 100, hkl 2 2 0; d 2.057, 44.0 deg, rel. 58, hkl 1 1 -3; d 2.025, 44.7 deg, rel. 76, hkl 5 1 -3

=====

# 4
Computed PXRD pattern
Compound: Hf5TiCo3
Radiation: Cu Kα, 1.54184 Å
Structure: a structure optimized by DFT (PBE)
No peak broadening, texture or thermal motion is included.

Structure:
Unit cell a=9.898 b=8.068 c=9.061 alpha=90.00 beta=107.24 gamma=90.00
Space group C2/m (No. 12)
Unique sites:
1 Hf 0.000 0.187 0.000
2 Hf 0.048 0.000 0.343
3 Hf 0.176 0.280 0.628
4 Hf 0.244 0.000 0.891
5 Ti 0.001 0.500 0.241
6 Co 0.000 0.500 0.000
7 Co 0.000 0.500 0.500
8 Co 0.212 0.000 0.157
9 Co 0.240 0.500 0.421

Top 6 peaks for 5° ≤ 2θ ≤ 70°, low angle first:
d 2.767, 32.4 deg, rel. 61, hkl 2 2 -2; d 2.731, 32.8 deg, rel. 100, hkl 2 2 1; d 2.536, 35.4 deg, rel. 33, hkl 1 3 -1; d 2.474, 36.3 deg, rel. 31, hkl 4 0 -1; d 2.418, 37.2 deg, rel. 34, hkl 3 1 -3; d 2.338, 38.5 deg, rel. 28, hkl 2 2 -3

=====

# 5
Computed PXRD pattern
Compound: HfTi2Co3
Radiation: Cu Kα, 1.54184 Å
Structure: a structure optimized by DFT (PBE)
No peak broadening, texture or thermal motion is included.

Structure:
Unit cell a=2.974 b=2.974 c=9.428 alpha=90.00 beta=90.00 gamma=90.00
Space group P4/mmm (No. 123)
Unique sites:
1 Hf 0.000 0.000 0.000
2 Ti 0.000 0.000 0.340
3 Co 0.500 0.500 0.195
4 Co 0.500 0.500 0.500

Top 6 peaks for 5° ≤ 2θ ≤ 70°, low angle first:
d 9.428, 9.4 deg, rel. 44, hkl 0 0 1; d 2.837, 31.5 deg, rel. 24, hkl 1 0 1; d 2.516, 35.7 deg, rel. 24, hkl 1 0 2; d 2.160, 41.8 deg, rel. 100, hkl 1 0 3; d 2.103, 43.0 deg, rel. 50, hkl 1 1 0; d 1.487, 62.4 deg, rel. 16, hkl 2 0 0

=====

# 6
Computed PXRD pattern
Compound: Hf3Ti4Co4
Radiation: Cu Kα, 1.54184 Å
Structure: a structure optimized by DFT (PBE)
No peak broadening, texture or thermal motion is included.

Structure:
Unit cell a=4.054 b=6.519 c=13.216 alpha=90.00 beta=90.00 gamma=90.00
Space group Immm (No. 71)
Unique sites:
1 Hf 0.000 0.000 0.000
2 Hf 0.000 0.500 0.112
3 Ti 0.000 0.294 0.331
4 Co 0.000 0.000 0.213
5 Co 0.000 0.183 0.500

Top 6 peaks for 5° ≤ 2θ ≤ 70°, low angle first:
d 3.875, 22.9 deg, rel. 24, hkl 1 0 1; d 2.494, 36.0 deg, rel. 100, hkl 1 2 1; d 2.450, 36.7 deg, rel. 42, hkl 0 1 5; d 2.384, 37.7 deg, rel. 95, hkl 1 1 4; d 2.027, 44.7 deg, rel. 31, hkl 2 0 0; d 1.562, 59.2 deg, rel. 21, hkl 2 1 5

=====

# 7
Computed PXRD pattern
Compound: Hf3VCo
Radiation: Cu Kα, 1.54184 Å
Structure: a structure optimized by DFT (PBE)
No peak broadening, texture or thermal motion is included.

Structure:
Unit cell a=4.760 b=4.760 c=4.760 alpha=90.00 beta=90.00 gamma=90.00
Space group Pm-3m (No. 221)
Unique sites:
1 Hf 0.000 0.000 0.500
2 V 0.500 0.500 0.500
3 Co 0.000 0.000 0.000

Top 6 peaks for 5° ≤ 2θ ≤ 70°, low angle first:
d 4.760, 18.6 deg, rel. 39, hkl 1 0 0; d 2.748, 32.6 deg, rel. 100, hkl 1 1 1; d 2.380, 37.8 deg, rel. 78, hkl 2 0 0; d 2.129, 42.5 deg, rel. 19, hkl 2 1 0; d 1.683, 54.5 deg, rel. 53, hkl 2 2 0; d 1.435, 65.0 deg, rel. 42, hkl 3 1 1

=====

# 8
Computed PXRD pattern
Compound: Hf2V3Co
Radiation: Cu Kα, 1.54184 Å
Structure: a structure optimized by DFT (PBE)
No peak broadening, texture or thermal motion is included.

Structure:
Unit cell a=5.1049 b=5.1049 c=12.4834 alpha=90.00 beta=90.00 gamma=120.00
Space group R-3m (No. 166, hexagonal axes)
Unique sites:
1 Hf 0.0000 0.0000 0.1257
2 V 0.0000 0.5000 0.0000
3 Co 0.0000 0.0000 0.5000

Top 6 peaks for 5° ≤ 2θ ≤ 70°, low angle first:
d 4.165, 21.3 deg, rel. 28, hkl 0 0 3; d 2.551, 35.2 deg, rel. 78, hkl 1 1 0; d 2.175, 41.5 deg, rel. 100, hkl 1 1 3; d 2.083, 43.4 deg, rel. 10, hkl 0 0 6; d 1.473, 63.1 deg, rel. 21, hkl 3 0 0; d 1.389, 67.4 deg, rel. 29, hkl 3 0 3

=====

# 9
Computed PXRD pattern
Compound: HfCoW
Radiation: Cu Kα, 1.54184 Å
Structure: a structure optimized by DFT (PBE)
No peak broadening, texture or thermal motion is included.

Structure:
Unit cell a=5.031 b=8.604 c=17.305 alpha=90.00 beta=90.00 gamma=90.00
Space group Fddd (No. 70, origin choice 2)
Unique sites:
1 Hf 0.125 0.295 0.125
2 Co 0.125 0.125 0.001
3 W 0.125 0.125 0.545

Top 6 peaks for 5° ≤ 2θ ≤ 70°, low angle first:
d 2.707, 33.1 deg, rel. 53, hkl 1 1 5; d 2.466, 36.4 deg, rel. 100, hkl 1 3 1; d 2.415, 37.2 deg, rel. 84, hkl 2 0 2; d 2.396, 37.5 deg, rel. 83, hkl 0 2 6; d 2.149, 42.0 deg, rel. 81, hkl 1 1 7; d 1.941, 46.8 deg, rel. 63, hkl 2 2 4

=====

# 10
Computed PXRD pattern
Compound: HfZn3Co2
Radiation: Cu Kα, 1.54184 Å
Structure: a structure optimized by DFT (PBE)
No peak broadening, texture or thermal motion is included.

Structure:
Unit cell a=5.788 b=7.464 c=7.855 alpha=90.00 beta=99.24 gamma=90.00
Space group C2/c (No. 15)
Unique sites:
1 Hf 0.000 0.148 0.250
2 Zn 0.000 0.443 0.750
3 Zn 0.213 0.406 0.045
4 Co 0.140 0.163 0.620

Top 6 peaks for 5° ≤ 2θ ≤ 70°, low angle first:
d 2.380, 37.8 deg, rel. 49, hkl 1 1 -3; d 2.281, 39.5 deg, rel. 48, hkl 1 3 0; d 2.256, 40.0 deg, rel. 100, hkl 2 2 -1; d 2.141, 42.2 deg, rel. 71, hkl 2 0 2; d 2.125, 42.6 deg, rel. 84, hkl 0 2 3; d 1.913, 47.5 deg, rel. 30, hkl 1 3 2

=====

# 11
Computed PXRD pattern
Compound: Hf8Zn2Co
Radiation: Cu Kα, 1.54184 Å
Structure: a structure optimized by DFT (PBE)
No peak broadening, texture or thermal motion is included.

Structure:
Unit cell a=15.747 b=4.664 c=5.931 alpha=90.00 beta=93.58 gamma=90.00
Space group C2/m (No. 12)
Unique sites:
1 Hf 0.029 0.000 0.252
2 Hf 0.090 0.500 0.931
3 Hf 0.161 0.500 0.414
4 Hf 0.207 0.000 0.103
5 Zn 0.158 0.000 0.654
6 Co 0.000 0.500 0.500

Top 6 peaks for 5° ≤ 2θ ≤ 70°, low angle first:
d 2.606, 34.4 deg, rel. 28, hkl 5 1 0; d 2.448, 36.7 deg, rel. 100, hkl 1 1 2; d 2.433, 36.9 deg, rel. 90, hkl 5 1 -1; d 2.342, 38.4 deg, rel. 31, hkl 6 0 1; d 2.332, 38.6 deg, rel. 48, hkl 0 2 0; d 1.652, 55.6 deg, rel. 21, hkl 6 2 1

=====

# 12
Computed PXRD pattern
Compound: Hf2Zr2Co
Radiation: Cu Kα, 1.54184 Å
Structure: a structure optimized by DFT (PBE)
No peak broadening, texture or thermal motion is included.

Structure:
Unit cell a=4.518 b=10.452 c=4.437 alpha=90.00 beta=90.00 gamma=90.00
Space group Pbam (No. 55)
Unique sites:
1 Hf 0.003 0.148 0.000
2 Zr 0.003 0.351 0.500
3 Co 0.000 0.000 0.500

Top 6 peaks for 5° ≤ 2θ ≤ 70°, low angle first:
d 4.147, 21.4 deg, rel. 18, hkl 1 1 0; d 3.030, 29.5 deg, rel. 42, hkl 1 1 1; d 2.343, 38.4 deg, rel. 100, hkl 1 3 1; d 2.259, 39.9 deg, rel. 25, hkl 2 0 0; d 2.219, 40.7 deg, rel. 24, hkl 0 0 2; d 1.583, 58.3 deg, rel. 16, hkl 2 0 2

=====

# 13
Computed PXRD pattern
Compound: HfZrCo2
Radiation: Cu Kα, 1.54184 Å
Structure: a structure optimized by DFT (PBE)
No peak broadening, texture or thermal motion is included.

Structure:
Unit cell a=6.376 b=8.954 c=4.483 alpha=90.00 beta=90.00 gamma=90.00
Space group Cmcm (No. 63)
Unique sites:
1 Hf 0.000 0.124 0.250
2 Zr 0.000 0.374 0.750
3 Co 0.245 0.125 0.750

Top 6 peaks for 5° ≤ 2θ ≤ 70°, low angle first:
d 5.194, 17.1 deg, rel. 10, hkl 1 1 0; d 3.188, 28.0 deg, rel. 9, hkl 2 0 0; d 3.168, 28.2 deg, rel. 17, hkl 0 2 1; d 2.247, 40.1 deg, rel. 100, hkl 2 2 1; d 2.240, 40.3 deg, rel. 50, hkl 0 4 0; d 1.584, 58.2 deg, rel. 16, hkl 0 4 2

=====

# 14
Computed PXRD pattern
Compound: Hf3Zr2Co2
Radiation: Cu Kα, 1.54184 Å
Structure: a structure optimized by DFT (PBE)
No peak broadening, texture or thermal motion is included.

Structure:
Unit cell a=11.042 b=3.272 c=8.107 alpha=90.00 beta=113.96 gamma=90.00
Space group C2/m (No. 12)
Unique sites:
1 Hf 0.000 0.000 0.000
2 Hf 0.117 0.000 0.438
3 Zr 0.158 0.500 0.812
4 Co 0.165 0.500 0.232

Top 6 peaks for 5° ≤ 2θ ≤ 70°, low angle first:
d 2.752, 32.5 deg, rel. 72, hkl 4 0 -1; d 2.691, 33.3 deg, rel. 56, hkl 2 0 -3; d 2.545, 35.3 deg, rel. 57, hkl 1 1 -2; d 2.535, 35.4 deg, rel. 70, hkl 2 0 2; d 2.444, 36.8 deg, rel. 100, hkl 3 1 -1; d 2.248, 40.1 deg, rel. 77, hkl 1 1 2